For LuScFe2O6, a structure optimized by DFT (GGA+U) gives the computed powder diffractogram in this record (copper Kα).
Lines closer than 0.1° are merged.

Cell and atoms:
Cell: 5.9462 5.9462 11.6433 Å, 90.00 90.00 120.00°
Space group P3 (No. 143)
One atom of each set of equivalent atoms:
Lu: 0.0000 0.0000 0.0000 (multiplicity 1)
Lu: 0.0000 0.0000 0.4987 (multiplicity 1)
Lu: 0.3333 0.6667 0.4993 (multiplicity 1)
Sc: 0.3333 0.6667 0.9998 (multiplicity 1)
Sc: 0.6667 0.3333 0.0398 (multiplicity 1)
Sc: 0.6667 0.3333 0.5409 (multiplicity 1)
Fe: 0.3357 0.0010 0.2657 (multiplicity 3)
Fe: 0.3355 0.3347 0.7679 (multiplicity 3)
O: 0.0000 0.0000 0.2884 (multiplicity 1)
O: 0.0000 0.0000 0.7936 (multiplicity 1)
O: 0.0226 0.6902 0.6016 (multiplicity 3)
O: 0.0314 0.3407 0.0996 (multiplicity 3)
O: 0.3333 0.6667 0.2922 (multiplicity 1)
O: 0.3333 0.6667 0.7896 (multiplicity 1)
O: 0.3709 0.0382 0.4341 (multiplicity 3)
O: 0.3711 0.3433 0.9364 (multiplicity 3)
O: 0.6667 0.3333 0.2341 (multiplicity 1)
O: 0.6667 0.3333 0.7388 (multiplicity 1)

The 12 most intense peaks (10 to 80 degrees two-theta), by angle:
d 5.822, I 23, hkl 0 0 2; d 5.150, I 25, hkl 1 0 0; d 3.857, I 31, hkl 1 0 2; d 2.973, I 34, hkl 1 1 0; d 2.911, I 42, hkl 0 0 4; d 2.881, I 48, hkl 1 1 1; d 2.648, I 100, hkl 2 -1 2; d 2.357, I 16, hkl 0 2 2; d 2.080, I 33, hkl 1 1 4; d 1.717, I 45, hkl 3 0 0; d 1.625, I 29, hkl 2 -1 6; d 1.479, I 31, hkl 3 0 4